For Ho3Tm2Sn, a crystal structure in Alexandria, relaxed with PBE gives the calculated X-ray diffraction stick pattern in this record (Cu Kα, 1.54184 Å).
No peak broadening, texture or thermal motion is included.

Largest 10 diffraction maxima, in order of rising 2θ, 2θ = 10–90°:
two_theta  I_rel
28.46  17
30.81  49
30.92  47
31.47  23
33.11  21
33.30  94
33.77  100
51.87  18
56.99  13
61.58  34

Structural model:
```
Ho3Tm2Sn
1.0
8.328 0.000 0.000
0.000 3.525 0.000
-0.043 0.000 12.099
Ho Tm Sn
6 4 2
Direct
0.079 0.250 0.111 Ho
0.344 0.750 0.557 Ho
0.391 0.750 0.250 Ho
0.609 0.250 0.750 Ho
0.656 0.250 0.443 Ho
0.921 0.750 0.889 Ho
0.077 0.250 0.388 Tm
0.346 0.750 0.942 Tm
0.654 0.250 0.058 Tm
0.923 0.750 0.612 Tm
0.191 0.250 0.751 Sn
0.809 0.750 0.249 Sn
```



For Dy3CoSe, a crystal structure in Alexandria, relaxed with PBE gives the calculated X-ray diffraction stick pattern in this record (Cu Kα, 1.54184 Å).
No peak broadening, texture or thermal motion is included.

Largest 10 diffraction maxima, in order of rising 2θ, 2θ = 10–90°:
two_theta  I_rel
29.91  100
32.55  80
33.01  45
33.43  37
35.71  34
36.41  78
39.26  21
40.42  28
47.73  35
58.95  23

Structural model:
```
Dy3CoSe
1.0
7.879 0.000 0.000
0.000 3.811 0.000
-2.388 0.000 7.924
Dy Co Se
6 2 2
Direct
0.072 0.250 0.246 Dy
0.308 0.250 0.941 Dy
0.326 0.750 0.598 Dy
0.674 0.250 0.402 Dy
0.692 0.750 0.059 Dy
0.928 0.750 0.754 Dy
0.061 0.250 0.581 Co
0.939 0.750 0.419 Co
0.383 0.750 0.245 Se
0.617 0.250 0.755 Se
```



For Nd8Tl4H, a crystal structure in Alexandria, relaxed with PBE gives the calculated X-ray diffraction stick pattern in this record (Cu Kα, 1.54184 Å).
No peak broadening, texture or thermal motion is included.

Largest 10 diffraction maxima, in order of rising 2θ, 2θ = 10–90°:
two_theta  I_rel
31.13  100
32.73  19
35.49  19
39.78  14
49.05  12
54.35  11
57.42  12
61.02  15
64.91  11
66.85  11

Structural model:
```
Nd8Tl4H
1.0
4.532 0.000 0.000
0.000 5.059 0.000
0.000 0.000 16.416
Nd Tl H
8 4 1
Direct
0.000 0.000 0.000 Nd
0.000 0.000 0.303 Nd
0.000 0.500 0.155 Nd
0.000 0.500 0.464 Nd
0.500 0.000 0.501 Nd
0.500 0.000 0.806 Nd
0.500 0.500 0.656 Nd
0.500 0.500 0.963 Nd
0.000 0.000 0.646 Tl
0.000 0.500 0.821 Tl
0.500 0.000 0.142 Tl
0.500 0.500 0.321 Tl
0.000 0.000 0.447 H
```



For Ce4NdTe6, a crystal structure in Alexandria, relaxed with PBE gives the calculated X-ray diffraction stick pattern in this record (Cu Kα, 1.54184 Å).
No peak broadening, texture or thermal motion is included.

Largest 10 diffraction maxima, in order of rising 2θ, 2θ = 10–90°:
two_theta  I_rel
24.10  27
28.50  54
29.67  100
31.81  83
33.13  80
36.54  33
37.19  38
42.82  33
51.56  26
63.71  28

Structural model:
```
Ce4NdTe6
1.0
6.396 3.693 5.063
-6.396 3.693 5.063
0.000 -7.385 5.063
Ce Nd Te
8 2 12
Direct
0.142 0.750 0.358 Ce
0.250 0.250 0.250 Ce
0.250 0.642 0.858 Ce
0.358 0.142 0.750 Ce
0.642 0.858 0.250 Ce
0.750 0.358 0.142 Ce
0.750 0.750 0.750 Ce
0.858 0.250 0.642 Ce
0.000 0.000 0.000 Nd
0.500 0.500 0.500 Nd
0.060 0.913 0.673 Te
0.087 0.327 0.940 Te
0.173 0.413 0.560 Te
0.327 0.940 0.087 Te
0.413 0.560 0.173 Te
0.440 0.827 0.587 Te
0.560 0.173 0.413 Te
0.587 0.440 0.827 Te
0.673 0.060 0.913 Te
0.827 0.587 0.440 Te
0.913 0.673 0.060 Te
0.940 0.087 0.327 Te
```



For Dy2Er4MgSc, a crystal structure in Alexandria, relaxed with PBE gives the calculated X-ray diffraction stick pattern in this record (Cu Kα, 1.54184 Å).
No peak broadening, texture or thermal motion is included.

Largest 10 diffraction maxima, in order of rising 2θ, 2θ = 10–90°:
two_theta  I_rel
20.30  17
31.73  100
36.69  34
37.02  16
52.87  12
53.11  23
62.99  28
63.43  14
66.29  12
87.08  12

Structural model:
```
Dy2Er4MgSc
1.0
4.898 0.000 0.000
0.000 4.898 0.000
0.000 0.000 9.713
Dy Er Mg Sc
2 4 1 1
Direct
0.000 0.000 0.000 Dy
0.500 0.500 0.500 Dy
0.000 0.500 0.246 Er
0.000 0.500 0.754 Er
0.500 0.000 0.246 Er
0.500 0.000 0.754 Er
0.000 0.000 0.500 Mg
0.500 0.500 0.000 Sc
```



For Ho4Er5Tm, a crystal structure in Alexandria, relaxed with PBE gives the calculated X-ray diffraction stick pattern in this record (Cu Kα, 1.54184 Å).
No peak broadening, texture or thermal motion is included.

Largest 10 diffraction maxima, in order of rising 2θ, 2θ = 10–90°:
two_theta  I_rel
29.89  44
32.04  65
32.38  21
32.50  100
32.97  98
33.12  19
49.47  25
57.12  20
58.00  21
60.14  20

Structural model:
```
Ho4Er5Tm
1.0
3.515 0.000 0.000
-1.722 6.451 0.000
-0.033 -1.833 13.581
Ho Er Tm
4 5 1
Direct
0.123 0.204 0.308 Ho
0.179 0.328 0.711 Ho
0.821 0.672 0.289 Ho
0.877 0.796 0.692 Ho
0.186 0.375 0.084 Er
0.464 0.918 0.115 Er
0.500 0.000 0.500 Er
0.536 0.082 0.885 Er
0.814 0.625 0.916 Er
0.000 0.500 0.500 Tm
```



For Tl3SnPb2, a crystal structure in Alexandria, relaxed with PBE gives the calculated X-ray diffraction stick pattern in this record (Cu Kα, 1.54184 Å).
No peak broadening, texture or thermal motion is included.

Largest 10 diffraction maxima, in order of rising 2θ, 2θ = 10–90°:
two_theta  I_rel
30.95  51
31.07  50
31.30  100
35.83  70
36.72  32
52.16  25
52.32  24
61.16  15
61.71  15
62.75  20

Structural model:
```
Tl3SnPb2
1.0
9.262 -1.760 0.000
9.262 1.760 0.000
-4.261 0.000 11.317
Tl Sn Pb
6 2 4
Direct
0.083 0.083 0.206 Tl
0.253 0.253 0.130 Tl
0.416 0.416 0.051 Tl
0.584 0.584 0.949 Tl
0.747 0.747 0.870 Tl
0.917 0.917 0.794 Tl
0.084 0.084 0.701 Sn
0.916 0.916 0.299 Sn
0.249 0.249 0.622 Pb
0.420 0.420 0.543 Pb
0.580 0.580 0.457 Pb
0.751 0.751 0.378 Pb
```



For LaPrTc2O8, a crystal structure in Alexandria, relaxed with PBE gives the calculated X-ray diffraction stick pattern in this record (Cu Kα, 1.54184 Å).
No peak broadening, texture or thermal motion is included.

Largest 10 diffraction maxima, in order of rising 2θ, 2θ = 10–90°:
two_theta  I_rel
27.94  100
30.33  15
33.36  20
45.70  30
47.89  13
52.44  17
56.36  28
57.75  12
73.73  12
87.74  8

Structural model:
```
LaPrTc2O8
1.0
-2.686 2.686 5.893
2.686 -2.686 5.893
2.686 2.686 -5.893
La Pr Tc O
1 1 2 8
Direct
0.000 0.000 0.000 La
0.750 0.250 0.500 Pr
0.250 0.750 0.500 Tc
0.500 0.500 0.000 Tc
0.010 0.916 0.592 O
0.084 0.676 0.094 O
0.166 0.263 0.597 O
0.324 0.418 0.408 O
0.430 0.834 0.096 O
0.582 0.990 0.906 O
0.666 0.570 0.403 O
0.737 0.334 0.904 O
```



For Pm7PrGa5, a crystal structure in Alexandria, relaxed with PBE gives the calculated X-ray diffraction stick pattern in this record (Cu Kα, 1.54184 Å).
No peak broadening, texture or thermal motion is included.

Largest 10 diffraction maxima, in order of rising 2θ, 2θ = 10–90°:
two_theta  I_rel
27.52  64
28.32  46
29.85  68
32.19  37
33.12  48
33.50  46
34.24  92
36.88  100
61.65  34
62.02  36

Structural model:
```
Pm7PrGa5
1.0
-3.242 5.062 5.409
3.242 -5.062 5.409
3.242 5.062 -5.409
Pm Pr Ga
7 1 5
Direct
0.000 0.000 0.000 Pm
0.302 0.635 0.667 Pm
0.340 0.340 0.000 Pm
0.423 0.111 0.312 Pm
0.800 0.111 0.688 Pm
0.861 0.361 0.500 Pm
0.968 0.635 0.333 Pm
0.677 0.677 0.000 Pr
0.114 0.102 0.474 Ga
0.114 0.640 0.012 Ga
0.379 0.879 0.500 Ga
0.628 0.102 0.988 Ga
0.628 0.640 0.526 Ga
```



For Cs, a crystal structure in Alexandria, relaxed with PBE gives the calculated X-ray diffraction stick pattern in this record (Cu Kα, 1.54184 Å).
No peak broadening, texture or thermal motion is included.

Largest 10 diffraction maxima, in order of rising 2θ, 2θ = 10–90°:
two_theta  I_rel
18.54  14
19.08  17
20.07  34
21.10  100
21.59  32
27.83  13
33.05  17
35.76  26
38.12  13
38.98  35

Structural model:
```
Cs
1.0
2.792 -4.651 0.000
2.792 4.651 0.000
-0.013 0.000 8.846
Cs
2
Direct
0.183 0.817 0.750 Cs
0.817 0.183 0.250 Cs
```



For Pm4Zn7Sn6, a crystal structure in Alexandria, relaxed with PBE gives the calculated X-ray diffraction stick pattern in this record (Cu Kα, 1.54184 Å).
No peak broadening, texture or thermal motion is included.

Largest 10 diffraction maxima, in order of rising 2θ, 2θ = 10–90°:
two_theta  I_rel
27.50  19
30.83  16
33.85  100
39.29  58
41.78  18
46.43  12
56.78  29
64.22  11
67.77  24
76.28  12

Structural model:
```
Pm4Zn7Sn6
1.0
-4.586 4.586 4.586
4.586 -4.586 4.586
4.586 4.586 -4.586
Pm Zn Sn
4 7 6
Direct
0.000 0.000 0.500 Pm
0.000 0.500 0.000 Pm
0.500 0.000 0.000 Pm
0.500 0.500 0.500 Pm
0.000 0.000 0.000 Zn
0.250 0.500 0.750 Zn
0.250 0.750 0.500 Zn
0.500 0.250 0.750 Zn
0.500 0.750 0.250 Zn
0.750 0.250 0.500 Zn
0.750 0.500 0.250 Zn
0.000 0.309 0.309 Sn
0.000 0.691 0.691 Sn
0.309 0.000 0.309 Sn
0.309 0.309 0.000 Sn
0.691 0.000 0.691 Sn
0.691 0.691 0.000 Sn
```